Entry 1:
Structure and computed X-ray powder pattern of Tm7Co3 (a structure optimized by DFT (GGA-PBE); λ = 1.5418 Å (Cu Kα)).

Structural model:
```
Tm7Co3
1.0
9.4251 0.0000 0.0000
-4.7125 8.1624 0.0000
0.0000 0.0000 6.0303
Tm Co
14 6
Direct
0.0829 0.5415 0.0000
0.1237 0.2474 0.6823
0.1237 0.8763 0.6823
0.2474 0.1237 0.1823
0.3333 0.6667 0.4759
0.4585 0.5415 0.0000
0.4585 0.9171 0.0000
0.5415 0.0829 0.5000
0.5415 0.4585 0.5000
0.6667 0.3333 0.9759
0.7526 0.8763 0.6823
0.8763 0.1237 0.1823
0.8763 0.7526 0.1823
0.9171 0.4585 0.5000
0.1898 0.3796 0.2653
0.1898 0.8102 0.2653
0.3796 0.1898 0.7653
0.6204 0.8102 0.2653
0.8102 0.1898 0.7653
0.8102 0.6204 0.7653
```

Most intense lines, 10° ≤ 2θ ≤ 80°, low angle first:
- 31.6°, 2.828 Å, rel. 41
- 32.6°, 2.747 Å, rel. 100
- 36.2°, 2.480 Å, rel. 37
- 37.1°, 2.425 Å, rel. 30
- 57.0°, 1.617 Å, rel. 23
- 58.0°, 1.591 Å, rel. 24

***

Entry 2:
Structure and computed X-ray powder pattern of Tm4Co3 (a structure optimized by DFT (GGA-PBE); λ = 1.5418 Å (Cu Kα)).

Structural model:
```
Tm4Co3
1.0
11.0877 0.0000 0.0000
-5.5439 9.6022 0.0000
0.0000 0.0000 3.9889
Tm Co
12 9
Direct
0.0234 0.7770 0.2494
0.1350 0.5145 0.2489
0.2230 0.2464 0.2494
0.2464 0.0234 0.7506
0.3796 0.8650 0.2489
0.4855 0.6204 0.2489
0.5145 0.3796 0.7511
0.6204 0.1350 0.7511
0.7536 0.9766 0.2494
0.7770 0.7536 0.7506
0.8650 0.4855 0.7511
0.9766 0.2230 0.7506
0.0000 0.0000 0.0000
0.1552 0.7184 0.7515
0.2816 0.4369 0.7515
0.3333 0.6667 0.7479
0.4369 0.1552 0.2485
0.5631 0.8448 0.7515
0.6667 0.3333 0.2521
0.7184 0.5631 0.2485
0.8448 0.2816 0.2485
```

Most intense lines, 10° ≤ 2θ ≤ 80°, low angle first:
- 33.4°, 2.684 Å, rel. 100
- 33.7°, 2.663 Å, rel. 35
- 36.0°, 2.496 Å, rel. 27
- 43.2°, 2.095 Å, rel. 20
- 45.5°, 1.994 Å, rel. 17
- 65.0°, 1.435 Å, rel. 21

***

Entry 3:
Structure and computed X-ray powder pattern of Tm5Co2 (a structure optimized by DFT (GGA-PBE); λ = 1.5418 Å (Cu Kα)).

Structural model:
```
Tm5Co2
1.0
7.7960 -3.1026 0.0000
7.7960 3.1026 0.0000
-0.8168 0.0000 6.8148
Tm Co
10 4
Direct
0.0710 0.9290 0.7500
0.1480 0.2849 0.3156
0.2849 0.1480 0.8156
0.2969 0.5143 0.0866
0.4857 0.7031 0.4134
0.5143 0.2969 0.5866
0.7031 0.4857 0.9134
0.7151 0.8520 0.1844
0.8520 0.7151 0.6844
0.9290 0.0710 0.2500
0.1024 0.6757 0.4275
0.3243 0.8976 0.0725
0.6757 0.1024 0.9275
0.8976 0.3243 0.5725
```

Most intense lines, 10° ≤ 2θ ≤ 80°, low angle first:
- 29.9°, 2.991 Å, rel. 60
- 31.7°, 2.824 Å, rel. 65
- 32.3°, 2.770 Å, rel. 100
- 33.0°, 2.710 Å, rel. 39
- 36.3°, 2.476 Å, rel. 60
- 37.2°, 2.420 Å, rel. 37

***

Entry 4:
Structure and computed X-ray powder pattern of Tm4Co (a structure optimized by DFT (GGA-PBE); λ = 1.5418 Å (Cu Kα)).

Structural model:
```
Tm4Co
1.0
0.0000 6.3111 3.5700
6.1132 0.0000 3.5700
6.1132 6.3111 0.0000
Tm Co
8 2
Direct
0.1982 0.2942 0.9655
0.2150 0.7850 0.4505
0.2845 0.7078 0.0518
0.2942 0.1982 0.5422
0.7005 0.7995 0.4650
0.7078 0.2845 0.9558
0.7850 0.2150 0.5495
0.7995 0.7005 0.0350
0.2418 0.2418 0.2582
0.9918 0.9918 0.0082
```

Most intense lines, 10° ≤ 2θ ≤ 80°, low angle first:
- 29.2°, 3.057 Å, rel. 35
- 31.9°, 2.804 Å, rel. 54
- 32.3°, 2.770 Å, rel. 100
- 41.4°, 2.179 Å, rel. 25
- 50.3°, 1.812 Å, rel. 24
- 53.8°, 1.704 Å, rel. 23

***

Entry 5:
Structure and computed X-ray powder pattern of Y4TmCo2 (a structure optimized by DFT (GGA-PBE); λ = 1.5418 Å (Cu Kα)).

Structural model:
```
Y4TmCo2
1.0
7.6632 0.0000 0.0000
0.0000 6.3403 0.0000
-3.0245 0.0000 7.1568
Y Tm Co
8 2 4
Direct
0.1253 0.2500 0.4793
0.1763 0.7500 0.2529
0.2606 0.5018 0.9132
0.2606 0.9982 0.9132
0.7394 0.0018 0.0868
0.7394 0.4982 0.0868
0.8237 0.2500 0.7471
0.8747 0.7500 0.5207
0.4708 0.2500 0.3343
0.5292 0.7500 0.6657
0.0935 0.2500 0.1277
0.4859 0.2500 0.7633
0.5141 0.7500 0.2367
0.9065 0.7500 0.8723
```

Most intense lines, 10° ≤ 2θ ≤ 80°, low angle first:
- 30.9°, 2.898 Å, rel. 65
- 31.2°, 2.868 Å, rel. 80
- 31.5°, 2.843 Å, rel. 62
- 35.2°, 2.548 Å, rel. 100
- 36.7°, 2.450 Å, rel. 69
- 38.2°, 2.357 Å, rel. 82

***

Entry 6:
Structure and computed X-ray powder pattern of YTmCo (a structure optimized by DFT (GGA-PBE); λ = 1.5418 Å (Cu Kα)).

Structural model:
```
YTmCo
1.0
3.4545 0.0000 0.0000
0.0000 5.1285 0.0000
-1.7311 0.0000 7.6474
Y Tm Co
2 2 2
Direct
0.0715 0.2500 0.1411
0.9285 0.7500 0.8589
0.2093 0.7500 0.4185
0.7907 0.2500 0.5815
0.4262 0.2500 0.8521
0.5738 0.7500 0.1479
```

Most intense lines, 10° ≤ 2θ ≤ 80°, low angle first:
- 29.1°, 3.065 Å, rel. 36
- 31.8°, 2.816 Å, rel. 17
- 35.0°, 2.564 Å, rel. 38
- 36.0°, 2.498 Å, rel. 100
- 47.6°, 1.911 Å, rel. 14
- 63.4°, 1.467 Å, rel. 20